Structure and theoretical powder diffractogram of Sm6Bi3C (DFT lattice parameters and positions (PBE); Cu Kα X-rays).
Kinematic intensities with the Lorentz-polarization factor, no thermal factor.

Largest 10 diffraction maxima, in order of falling intensity, 10 to 90 degrees two-theta:
Position (°2θ), intensity
30.0, 100
33.6, 41
26.6, 31
34.9, 29
35.8, 26
30.4, 24
30.6, 23
28.1, 22
37.9, 22
32.9, 20

Structural model:
Cell lengths 6.7378, 8.3505, 12.4931 Å; angles 90.00, 121.25, 90.00 degrees
Fractional positions:
Sm1 0.0918 0.0425 0.2241
Sm2 0.0918 0.4575 0.7241
Sm3 0.1819 0.7232 0.0542
Sm4 0.1819 0.7768 0.5542
Sm5 0.3741 0.1510 0.0490
Sm6 0.3741 0.3490 0.5490
Sm7 0.6259 0.6510 0.4510
Sm8 0.6259 0.8490 0.9510
Sm9 0.8181 0.2232 0.4458
Sm10 0.8181 0.2768 0.9458
Sm11 0.9082 0.5425 0.2759
Sm12 0.9082 0.9575 0.7759
Bi1 0.3182 0.1084 0.7437
Bi2 0.3182 0.3916 0.2437
Bi3 0.5000 0.0000 0.5000
Bi4 0.5000 0.5000 0.0000
Bi5 0.6818 0.6084 0.7563
Bi6 0.6818 0.8916 0.2563
C1 0.0000 0.0000 0.0000
C2 0.0000 0.5000 0.5000

=====

Structure and theoretical powder diffractogram of Tm4SnBiC (DFT lattice parameters and positions (PBE); Cu Kα X-rays).
Kinematic intensities with the Lorentz-polarization factor, no thermal factor.

Largest 10 diffraction maxima, in order of falling intensity, 10 to 90 degrees two-theta:
Position (°2θ), intensity
35.1, 100
28.9, 62
37.8, 56
51.9, 35
66.5, 32
34.3, 29
65.6, 20
54.5, 20
66.0, 17
26.5, 16

Structural model:
Cell lengths 8.5440, 8.5440, 6.7297 Å; angles 90.00, 90.00, 133.60 degrees
Fractional positions:
Tm1 0.0000 0.5000 0.0000
Tm2 0.0000 0.5000 0.5000
Tm3 0.0932 0.9068 0.7500
Tm4 0.4022 0.5978 0.7500
Tm5 0.5000 0.0000 0.0000
Tm6 0.5000 0.0000 0.5000
Tm7 0.5978 0.4022 0.2500
Tm8 0.9068 0.0932 0.2500
Sn1 0.1080 0.8920 0.2500
Sn2 0.8920 0.1080 0.7500
Bi1 0.3958 0.6042 0.2500
Bi2 0.6042 0.3958 0.7500
C1 0.2490 0.7510 0.7500
C2 0.7510 0.2490 0.2500

=====

Structure and theoretical powder diffractogram of Th5Bi3C (DFT lattice parameters and positions (PBE); Cu Kα X-rays).
Kinematic intensities with the Lorentz-polarization factor, no thermal factor.

Largest 10 diffraction maxima, in order of falling intensity, 10 to 90 degrees two-theta:
Position (°2θ), intensity
31.9, 100
33.3, 56
28.7, 32
51.2, 27
63.3, 26
32.7, 25
47.4, 17
29.4, 16
40.4, 16
56.3, 15

Structural model:
Cell lengths 9.4897, 9.4897, 6.5354 Å; angles 90.00, 90.00, 120.00 degrees
Fractional positions:
Th1 0.0000 0.2201 0.2500
Th2 0.0000 0.7799 0.7500
Th3 0.2201 0.0000 0.2500
Th4 0.2201 0.2201 0.7500
Th5 0.3333 0.6667 0.0000
Th6 0.3333 0.6667 0.5000
Th7 0.6667 0.3333 0.0000
Th8 0.6667 0.3333 0.5000
Th9 0.7799 0.0000 0.7500
Th10 0.7799 0.7799 0.2500
Bi1 0.0000 0.3993 0.7500
Bi2 0.0000 0.6007 0.2500
Bi3 0.3993 0.0000 0.7500
Bi4 0.3993 0.3993 0.2500
Bi5 0.6007 0.0000 0.2500
Bi6 0.6007 0.6007 0.7500
C1 0.0000 0.0000 0.0000
C2 0.0000 0.0000 0.5000

=====

Structure and theoretical powder diffractogram of Th5Bi2C2 (DFT lattice parameters and positions (PBE); Cu Kα X-rays).
Kinematic intensities with the Lorentz-polarization factor, no thermal factor.

Largest 10 diffraction maxima, in order of falling intensity, 10 to 90 degrees two-theta:
Position (°2θ), intensity
29.9, 100
31.1, 91
33.7, 49
27.5, 41
44.0, 30
55.9, 24
43.3, 22
27.4, 18
57.9, 16
58.6, 16

Structural model:
Cell lengths 7.2156, 7.2156, 7.2410 Å; angles 100.98, 100.98, 43.32 degrees
Fractional positions:
Th1 0.0000 0.0000 0.0000
Th2 0.1625 0.1625 0.5695
Th3 0.3289 0.3289 0.1058
Th4 0.6711 0.6711 0.8942
Th5 0.8375 0.8375 0.4305
Bi1 0.4171 0.4171 0.6972
Bi2 0.5829 0.5829 0.3028
C1 0.1660 0.1660 0.8925
C2 0.8340 0.8340 0.1075

=====

Structure and theoretical powder diffractogram of Th3BiC (DFT lattice parameters and positions (PBE); Cu Kα X-rays).
Kinematic intensities with the Lorentz-polarization factor, no thermal factor.

Largest 10 diffraction maxima, in order of falling intensity, 10 to 90 degrees two-theta:
Position (°2θ), intensity
30.4, 100
32.2, 36
31.6, 30
30.2, 23
31.1, 18
45.4, 17
32.0, 14
56.4, 13
56.1, 12
34.4, 11

Structural model:
Cell lengths 9.0491, 3.9918, 14.9196 Å; angles 90.00, 90.00, 90.00 degrees
Fractional positions:
Th1 0.0252 0.2500 0.0999
Th2 0.1775 0.2500 0.5048
Th3 0.2056 0.7500 0.3014
Th4 0.2944 0.2500 0.8014
Th5 0.3225 0.7500 0.0048
Th6 0.4748 0.7500 0.5999
Th7 0.5252 0.2500 0.4001
Th8 0.6775 0.2500 0.9952
Th9 0.7056 0.7500 0.1986
Th10 0.7944 0.2500 0.6986
Th11 0.8225 0.7500 0.4952
Th12 0.9748 0.7500 0.9001
Bi1 0.0855 0.7500 0.6758
Bi2 0.4145 0.2500 0.1758
Bi3 0.5855 0.7500 0.8242
Bi4 0.9145 0.2500 0.3242
C1 0.1580 0.2500 0.9472
C2 0.3420 0.7500 0.4472
C3 0.6580 0.2500 0.5528
C4 0.8420 0.7500 0.0528

=====

Structure and theoretical powder diffractogram of Th5BiC (DFT lattice parameters and positions (PBE); Cu Kα X-rays).
Kinematic intensities with the Lorentz-polarization factor, no thermal factor.

Largest 10 diffraction maxima, in order of falling intensity, 10 to 90 degrees two-theta:
Position (°2θ), intensity
37.0, 100
29.1, 83
25.3, 80
32.3, 61
31.9, 51
15.8, 43
46.0, 38
38.2, 29
65.0, 28
60.7, 25

Structural model:
Cell lengths 7.3849, 7.3849, 7.3849 Å; angles 116.06, 80.92, 135.93 degrees
Fractional positions:
Th1 0.0000 0.0000 0.0000
Th2 0.2820 0.5006 0.7815
Th3 0.4994 0.1963 0.6969
Th4 0.4994 0.8026 0.3031
Th5 0.7191 0.5006 0.2185
Bi1 0.9993 0.4993 0.5000
C1 0.5002 0.5002 0.0000